Diffraction record for TbPr10Ho4. The PXRD pattern is computed, not measured: it uses a structure optimized by DFT (PBE) and Cu Kα.

Peak list (8 most intense, 2θ from 10° to 90°, by angle)
2θ = 21.29°, 4.174 Å, I = 19
2θ = 26.12°, 3.411 Å, I = 24
2θ = 27.92°, 3.196 Å, I = 78
2θ = 31.64°, 2.827 Å, I = 100
2θ = 32.50°, 2.755 Å, I = 33
2θ = 39.89°, 2.260 Å, I = 29
2θ = 40.69°, 2.217 Å, I = 23
2θ = 58.56°, 1.576 Å, I = 20

Atomic structure:
Cell lengths 8.979, 8.979, 8.979 Å; angles 111.50, 111.50, 105.48 degrees
Fractional coordinates of all 15 atoms:
Tb1 0.000 0.000 0.000
Pr1 0.046 0.940 0.653
Pr2 0.060 0.713 0.106
Pr3 0.250 0.750 0.500
Pr4 0.287 0.393 0.347
Pr5 0.393 0.046 0.106
Pr6 0.607 0.954 0.894
Pr7 0.713 0.607 0.653
Pr8 0.750 0.250 0.500
Pr9 0.940 0.287 0.894
Pr10 0.954 0.060 0.347
Ho1 0.226 0.554 0.780
Ho2 0.446 0.226 0.672
Ho3 0.554 0.774 0.328
Ho4 0.774 0.446 0.220

---

Diffraction record for Tb5Pr2Ho. The PXRD pattern is computed, not measured: it uses a structure optimized by DFT (PBE) and Cu Kα.

Peak list (8 most intense, 2θ from 10° to 90°, by angle)
2θ = 30.47°, 2.934 Å, I = 100
2θ = 35.32°, 2.541 Å, I = 51
2θ = 50.82°, 1.797 Å, I = 36
2θ = 60.42°, 1.532 Å, I = 43
2θ = 63.41°, 1.467 Å, I = 12
2θ = 74.72°, 1.270 Å, I = 6
2θ = 82.79°, 1.166 Å, I = 18
2θ = 85.44°, 1.136 Å, I = 17

Atomic structure:
Cell lengths 7.188, 14.376, 5.080 Å; angles 90.00, 90.00, 90.00 degrees
Fractional coordinates of all 16 atoms:
Tb1 0.000 0.000 0.000
Tb2 0.001 0.250 0.000
Tb3 0.249 0.875 0.500
Tb4 0.251 0.375 0.500
Tb5 0.499 0.750 0.000
Tb6 0.500 0.500 0.000
Tb7 0.501 0.250 0.000
Tb8 0.749 0.625 0.500
Tb9 0.751 0.125 0.500
Tb10 0.999 0.750 0.000
Pr1 0.249 0.625 0.500
Pr2 0.251 0.125 0.500
Pr3 0.749 0.875 0.500
Pr4 0.751 0.375 0.500
Ho1 0.000 0.500 0.000
Ho2 0.500 0.000 0.000

---

Diffraction record for Tb2Pr4Ho3. The PXRD pattern is computed, not measured: it uses a structure optimized by DFT (PBE) and Cu Kα.

Peak list (8 most intense, 2θ from 10° to 90°, by angle)
2θ = 29.66°, 3.012 Å, I = 12
2θ = 29.76°, 3.002 Å, I = 13
2θ = 30.72°, 2.910 Å, I = 100
2θ = 32.69°, 2.739 Å, I = 28
2θ = 33.13°, 2.704 Å, I = 14
2θ = 33.31°, 2.690 Å, I = 13
2θ = 57.69°, 1.598 Å, I = 10
2θ = 60.75°, 1.525 Å, I = 10

Atomic structure:
Cell lengths 7.141, 8.572, 10.463 Å; angles 99.11, 100.13, 101.84 degrees
Fractional coordinates of all 18 atoms:
Tb1 0.059 0.334 0.392
Tb2 0.175 0.024 0.163
Tb3 0.825 0.976 0.837
Tb4 0.941 0.666 0.608
Pr1 0.023 0.663 0.944
Pr2 0.142 0.328 0.736
Pr3 0.325 0.975 0.835
Pr4 0.444 0.665 0.609
Pr5 0.556 0.335 0.391
Pr6 0.675 0.025 0.165
Pr7 0.858 0.672 0.264
Pr8 0.977 0.337 0.056
Ho1 0.250 0.000 0.498
Ho2 0.362 0.675 0.261
Ho3 0.475 0.336 0.056
Ho4 0.525 0.664 0.944
Ho5 0.638 0.325 0.739
Ho6 0.750 0.000 0.502

---

Diffraction record for Tb4Pr5Ho3. The PXRD pattern is computed, not measured: it uses a structure optimized by DFT (PBE) and Cu Kα.

Peak list (8 most intense, 2θ from 10° to 90°, by angle)
2θ = 28.25°, 3.159 Å, I = 45
2θ = 30.53°, 2.928 Å, I = 69
2θ = 30.95°, 2.890 Å, I = 37
2θ = 31.08°, 2.877 Å, I = 40
2θ = 31.27°, 2.860 Å, I = 100
2θ = 33.52°, 2.673 Å, I = 46
2θ = 44.03°, 2.057 Å, I = 28
2θ = 44.13°, 2.052 Å, I = 30

Atomic structure:
Cell lengths 5.751, 5.751, 15.008 Å; angles 106.27, 106.27, 61.22 degrees
Fractional coordinates of all 12 atoms:
Tb1 0.062 0.062 0.125
Tb2 0.178 0.178 0.360
Tb3 0.822 0.822 0.640
Tb4 0.938 0.938 0.875
Pr1 0.000 0.000 0.500
Pr2 0.332 0.332 0.001
Pr3 0.455 0.455 0.255
Pr4 0.545 0.545 0.745
Pr5 0.668 0.668 0.999
Ho1 0.205 0.205 0.748
Ho2 0.500 0.500 0.500
Ho3 0.795 0.795 0.252

---

Diffraction record for Tb8Pr2Ho3. The PXRD pattern is computed, not measured: it uses a structure optimized by DFT (PBE) and Cu Kα.

Peak list (8 most intense, 2θ from 10° to 90°, by angle)
2θ = 24.81°, 3.589 Å, I = 17
2θ = 29.24°, 3.054 Å, I = 29
2θ = 30.37°, 2.943 Å, I = 31
2θ = 32.24°, 2.777 Å, I = 38
2θ = 33.25°, 2.694 Å, I = 100
2θ = 34.46°, 2.603 Å, I = 13
2θ = 58.13°, 1.587 Å, I = 21
2θ = 67.40°, 1.389 Å, I = 14

Atomic structure:
Cell lengths 11.090, 11.090, 5.554 Å; angles 90.00, 90.00, 139.67 degrees
Fractional coordinates of all 13 atoms:
Tb1 0.128 0.872 0.000
Tb2 0.184 0.394 0.500
Tb3 0.339 0.661 0.000
Tb4 0.394 0.184 0.500
Tb5 0.606 0.816 0.500
Tb6 0.661 0.339 0.000
Tb7 0.816 0.606 0.500
Tb8 0.872 0.128 0.000
Pr1 0.241 0.759 0.500
Pr2 0.759 0.241 0.500
Ho1 0.000 0.000 0.500
Ho2 0.287 0.287 0.000
Ho3 0.713 0.713 0.000

---

Diffraction record for Tb7Pr12Ho. The PXRD pattern is computed, not measured: it uses a structure optimized by DFT (PBE) and Cu Kα.

Peak list (8 most intense, 2θ from 10° to 90°, by angle)
2θ = 27.11°, 3.290 Å, I = 46
2θ = 29.73°, 3.005 Å, I = 100
2θ = 30.23°, 2.956 Å, I = 45
2θ = 32.44°, 2.760 Å, I = 46
2θ = 32.72°, 2.737 Å, I = 47
2θ = 34.17°, 2.624 Å, I = 28
2θ = 38.87°, 2.317 Å, I = 40
2θ = 45.99°, 1.973 Å, I = 30

Atomic structure:
Cell lengths 11.587, 11.587, 11.587 Å; angles 116.79, 116.79, 116.79 degrees
Fractional coordinates of all 20 atoms:
Tb1 0.000 0.000 0.000
Tb2 0.131 0.377 0.377
Tb3 0.377 0.131 0.377
Tb4 0.377 0.377 0.131
Tb5 0.623 0.623 0.869
Tb6 0.623 0.869 0.623
Tb7 0.869 0.623 0.623
Pr1 0.000 0.411 0.589
Pr2 0.000 0.589 0.411
Pr3 0.082 0.082 0.435
Pr4 0.082 0.435 0.082
Pr5 0.411 0.000 0.588
Pr6 0.411 0.588 0.000
Pr7 0.435 0.082 0.082
Pr8 0.565 0.918 0.918
Pr9 0.588 0.000 0.411
Pr10 0.588 0.411 0.000
Pr11 0.918 0.565 0.918
Pr12 0.918 0.918 0.565
Ho1 0.500 0.500 0.500

---

Diffraction record for TbPr4Ho10. The PXRD pattern is computed, not measured: it uses a structure optimized by DFT (PBE) and Cu Kα.

Peak list (8 most intense, 2θ from 10° to 90°, by angle)
2θ = 27.36°, 3.260 Å, I = 25
2θ = 30.67°, 2.915 Å, I = 27
2θ = 31.70°, 2.823 Å, I = 100
2θ = 33.68°, 2.661 Å, I = 35
2θ = 34.63°, 2.590 Å, I = 16
2θ = 40.75°, 2.214 Å, I = 33
2θ = 45.44°, 1.996 Å, I = 19
2θ = 67.38°, 1.390 Å, I = 17

Atomic structure:
Cell lengths 8.927, 8.927, 8.927 Å; angles 101.54, 101.54, 126.87 degrees
Fractional coordinates of all 15 atoms:
Tb1 0.000 0.000 0.000
Pr1 0.227 0.227 0.455
Pr2 0.227 0.773 0.000
Pr3 0.773 0.227 0.000
Pr4 0.773 0.773 0.545
Ho1 0.086 0.294 0.792
Ho2 0.250 0.750 0.500
Ho3 0.294 0.086 0.792
Ho4 0.294 0.502 0.208
Ho5 0.498 0.706 0.792
Ho6 0.502 0.294 0.208
Ho7 0.706 0.498 0.792
Ho8 0.706 0.914 0.208
Ho9 0.750 0.250 0.500
Ho10 0.914 0.706 0.208

---

Diffraction record for Tb5Pr2Ho3. The PXRD pattern is computed, not measured: it uses a structure optimized by DFT (PBE) and Cu Kα.

Peak list (8 most intense, 2θ from 10° to 90°, by angle)
2θ = 30.13°, 2.966 Å, I = 100
2θ = 30.49°, 2.932 Å, I = 46
2θ = 30.61°, 2.920 Å, I = 46
2θ = 32.05°, 2.793 Å, I = 24
2θ = 33.59°, 2.668 Å, I = 45
2θ = 37.59°, 2.393 Å, I = 17
2θ = 48.92°, 1.862 Å, I = 19
2θ = 65.24°, 1.430 Å, I = 20

Atomic structure:
Cell lengths 9.642, 9.642, 9.409 Å; angles 108.17, 108.17, 112.79 degrees
Fractional coordinates of all 20 atoms:
Tb1 0.029 0.971 0.750
Tb2 0.111 0.347 0.714
Tb3 0.226 0.774 0.750
Tb4 0.268 0.732 0.250
Tb5 0.347 0.111 0.214
Tb6 0.653 0.889 0.786
Tb7 0.732 0.268 0.750
Tb8 0.774 0.226 0.250
Tb9 0.889 0.653 0.286
Tb10 0.971 0.029 0.250
Pr1 0.233 0.487 0.453
Pr2 0.487 0.233 0.953
Pr3 0.513 0.767 0.047
Pr4 0.767 0.513 0.547
Ho1 0.038 0.279 0.048
Ho2 0.279 0.038 0.548
Ho3 0.477 0.523 0.250
Ho4 0.523 0.477 0.750
Ho5 0.721 0.962 0.452
Ho6 0.962 0.721 0.952

---

Diffraction record for TbPr6Ho. The PXRD pattern is computed, not measured: it uses a structure optimized by DFT (PBE) and Cu Kα.

Peak list (8 most intense, 2θ from 10° to 90°, by angle)
2θ = 29.82°, 2.996 Å, I = 100
2θ = 34.57°, 2.594 Å, I = 51
2θ = 49.70°, 1.835 Å, I = 36
2θ = 59.04°, 1.564 Å, I = 43
2θ = 61.95°, 1.498 Å, I = 12
2θ = 72.92°, 1.297 Å, I = 6
2θ = 80.72°, 1.190 Å, I = 18
2θ = 83.28°, 1.160 Å, I = 16

Atomic structure:
Cell lengths 5.189, 5.189, 10.376 Å; angles 90.00, 90.00, 90.00 degrees
Fractional coordinates of all 8 atoms:
Tb1 0.000 0.000 0.000
Pr1 0.000 0.500 0.250
Pr2 0.000 0.500 0.750
Pr3 0.500 0.000 0.250
Pr4 0.500 0.000 0.750
Pr5 0.500 0.500 0.000
Pr6 0.500 0.500 0.500
Ho1 0.000 0.000 0.500

---

Diffraction record for Tb6Pr5Ho. The PXRD pattern is computed, not measured: it uses a structure optimized by DFT (PBE) and Cu Kα.

Peak list (8 most intense, 2θ from 10° to 90°, by angle)
2θ = 30.22°, 2.957 Å, I = 100
2θ = 34.96°, 2.566 Å, I = 34
2θ = 35.20°, 2.550 Å, I = 17
2θ = 50.28°, 1.815 Å, I = 12
2θ = 50.45°, 1.809 Å, I = 24
2θ = 59.79°, 1.547 Å, I = 29
2θ = 60.11°, 1.539 Å, I = 14
2θ = 62.86°, 1.479 Å, I = 12

Atomic structure:
Cell lengths 9.585, 9.585, 9.585 Å; angles 148.94, 115.72, 73.11 degrees
Fractional coordinates of all 12 atoms:
Tb1 0.083 0.334 0.749
Tb2 0.248 0.000 0.248
Tb3 0.415 0.666 0.749
Tb4 0.585 0.334 0.251
Tb5 0.752 0.000 0.752
Tb6 0.917 0.666 0.251
Pr1 0.165 0.165 0.000
Pr2 0.333 0.833 0.500
Pr3 0.500 0.500 0.000
Pr4 0.667 0.167 0.500
Pr5 0.835 0.835 0.000
Ho1 0.000 0.500 0.500

---

Diffraction record for Tb7Pr2Ho3. The PXRD pattern is computed, not measured: it uses a structure optimized by DFT (PBE) and Cu Kα.

Peak list (8 most intense, 2θ from 10° to 90°, by angle)
2θ = 29.68°, 3.010 Å, I = 34
2θ = 30.76°, 2.907 Å, I = 100
2θ = 31.28°, 2.860 Å, I = 56
2θ = 33.67°, 2.662 Å, I = 37
2θ = 34.77°, 2.580 Å, I = 44
2θ = 50.18°, 1.818 Å, I = 21
2θ = 52.73°, 1.736 Å, I = 21
2θ = 59.63°, 1.550 Å, I = 21

Atomic structure:
Cell lengths 6.363, 3.530, 17.521 Å; angles 90.00, 96.11, 90.00 degrees
Fractional coordinates of all 12 atoms:
Tb1 0.000 0.000 0.000
Tb2 0.229 0.500 0.167
Tb3 0.257 0.500 0.499
Tb4 0.275 0.000 0.837
Tb5 0.725 0.000 0.163
Tb6 0.743 0.500 0.501
Tb7 0.771 0.500 0.833
Pr1 0.058 0.500 0.673
Pr2 0.942 0.500 0.327
Ho1 0.453 0.000 0.342
Ho2 0.500 0.500 0.000
Ho3 0.547 0.000 0.658

---

Diffraction record for Tb2Pr4Ho3. The PXRD pattern is computed, not measured: it uses a structure optimized by DFT (PBE) and Cu Kα.

Peak list (8 most intense, 2θ from 10° to 90°, by angle)
2θ = 28.42°, 3.141 Å, I = 48
2θ = 29.88°, 2.990 Å, I = 49
2θ = 31.43°, 2.846 Å, I = 67
2θ = 33.02°, 2.713 Å, I = 100
2θ = 41.70°, 2.166 Å, I = 31
2θ = 50.32°, 1.813 Å, I = 39
2θ = 56.09°, 1.640 Å, I = 29
2θ = 59.63°, 1.551 Å, I = 42

Atomic structure:
Cell lengths 3.627, 3.627, 26.912 Å; angles 90.00, 90.00, 120.00 degrees
Fractional coordinates of all 9 atoms:
Tb1 0.000 0.000 0.000
Tb2 0.000 0.000 0.207
Pr1 0.000 0.000 0.339
Pr2 0.000 0.000 0.554
Pr3 0.333 0.667 0.671
Pr4 0.333 0.667 0.889
Ho1 0.000 0.000 0.780
Ho2 0.333 0.667 0.105
Ho3 0.333 0.667 0.445